Record 1
Theoretical powder diffraction line list
Compound: Dy6Ag5Rh
Radiation: a wavelength of 1.5418 Å
Structure: a cell relaxed with PBE
Intensities are scaled so that the largest is 100.

Peak list (10 most intense, 2θ = 10–80°, by angle)
24.62 deg, I 2; 24.80 deg, I 4; 35.23 deg, I 100; 35.36 deg, I 49; 50.48 deg, I 9; 50.87 deg, I 17; 63.14 deg, I 17; 63.39 deg, I 34; 74.49 deg, I 10; 74.81 deg, I 5

Atomic structure:
```
data_Dy6Ag5Rh
_chemical_formula_sum 'Dy12 Ag10 Rh2'
_cell_length_a 5.074
_cell_length_b 15.239
_cell_length_c 7.231
_cell_angle_alpha 90.00
_cell_angle_beta 90.00
_cell_angle_gamma 90.00
_space_group_name_H-M_alt 'C m m m'
_space_group_IT_number 65
_space_group_name_Hall '-C 2 2'
loop_
_atom_site_label
_atom_site_type_symbol
_atom_site_fract_x
_atom_site_fract_y
_atom_site_fract_z
Dy1 Dy 0.000 0.000 0.237
Dy2 Dy 0.000 0.341 0.244
Ag1 Ag 0.000 0.167 0.500
Ag2 Ag 0.000 0.174 0.000
Ag3 Ag 0.000 0.500 0.500
Rh1 Rh 0.000 0.500 0.000
```

Record 2
Theoretical powder diffraction line list
Compound: La2Nd2Sm4Mg
Radiation: a wavelength of 1.5418 Å
Structure: a cell relaxed with PBE
Intensities are scaled so that the largest is 100.

Peak list (10 most intense, 2θ = 10–80°, by angle)
28.43 deg, I 28; 29.08 deg, I 47; 30.36 deg, I 78; 31.31 deg, I 100; 31.55 deg, I 49; 32.94 deg, I 44; 33.07 deg, I 84; 50.10 deg, I 39; 53.38 deg, I 23; 59.51 deg, I 34

Atomic structure:
```
data_La2Nd2Sm4Mg
_chemical_formula_sum 'La2 Nd2 Sm4 Mg1'
_cell_length_a 6.302
_cell_length_b 6.317
_cell_length_c 9.062
_cell_angle_alpha 83.65
_cell_angle_beta 77.10
_cell_angle_gamma 60.13
_space_group_name_H-M_alt 'P -1'
_space_group_IT_number 2
loop_
_space_group_symop_operation_xyz
'x,y,z'
'-x,-y,-z'
loop_
_atom_site_label
_atom_site_type_symbol
_atom_site_fract_x
_atom_site_fract_y
_atom_site_fract_z
La1 La 0.215 0.001 0.334
Nd1 Nd 0.334 0.336 0.999
Sm1 Sm 0.108 0.329 0.670
Sm2 Sm 0.437 0.672 0.669
Mg1 Mg 0.000 0.000 0.000
```

Record 3
Theoretical powder diffraction line list
Compound: Li3Er3UTe8
Radiation: a wavelength of 1.5418 Å
Structure: a cell relaxed with PBE
Intensities are scaled so that the largest is 100.

Peak list (10 most intense, 2θ = 10–80°, by angle)
12.54 deg, I 39; 24.14 deg, I 28; 29.22 deg, I 100; 31.90 deg, I 15; 41.79 deg, I 76; 43.81 deg, I 11; 51.80 deg, I 27; 60.59 deg, I 13; 68.66 deg, I 35; 76.31 deg, I 26

Atomic structure:
```
data_Li3Er3UTe8
_chemical_formula_sum 'Li9 Er9 U3 Te24'
_cell_length_a 8.6449
_cell_length_b 8.6449
_cell_length_c 21.1803
_cell_angle_alpha 90.00
_cell_angle_beta 90.00
_cell_angle_gamma 120.00
_space_group_name_H-M_alt 'R -3 m'
_space_group_IT_number 166
_space_group_name_Hall '-R 3 2"'
loop_
_atom_site_label
_atom_site_type_symbol
_atom_site_fract_x
_atom_site_fract_y
_atom_site_fract_z
Li1 Li 0.0000 0.5000 0.0000
Er1 Er 0.0000 0.5000 0.5000
U1 U 0.0000 0.0000 0.5000
Te1 Te 0.0000 0.0000 0.2513
Te2 Te 0.0016 0.5008 0.7495
```

- What is the formula in the third record?
  Li3Er3UTe8